Starting from a structure optimized by DFT (PBE), the powder X-ray diffraction pattern of RbP2PdO6 was calculated for Cu Kα X-rays.
Lines closer than 0.1° are merged.

Peak list (8 most intense, 2θ from 10° to 90°, in order of rising 2θ)
- 2θ 20.2, d 4.401, I 22, hkl 0 1 2
- 2θ 26.2, d 3.398, I 100, hkl 1 0 4
- 2θ 31.0, d 2.887, I 38, hkl 1 1 0
- 2θ 37.2, d 2.414, I 13, hkl 2 0 2
- 2θ 41.0, d 2.200, I 15, hkl 0 2 4
- 2θ 42.9, d 2.109, I 18, hkl 2 -1 6
- 2θ 43.0, d 2.101, I 22, hkl 0 1 8
- 2θ 52.3, d 1.750, I 20, hkl 3 -1 4

a = 5.7748 Å, b = 5.7748 Å, c = 18.5264 Å
α = 90.00°, β = 90.00°, γ = 120.00°
Space group R-3 (No. 148, hexagonal axes)
Symmetry-distinct sites (fractional):
1 Rb 0.0000 0.0000 0.0000 [3 per cell]
2 P 0.0000 0.0000 0.2421 [6 per cell]
3 Pd 0.0000 0.0000 0.5000 [3 per cell]
4 O 0.0476 0.4431 0.9078 [18 per cell]